Computed powder diffraction line list of MnCd2RuO6 for Cu Kα X-rays, from a structure optimized by DFT (PBE+U).

Cell and atoms:
Unit cell a=5.5806 b=5.5806 c=4.0951 alpha=90.00 beta=90.00 gamma=90.00
Space group P4mm (No. 99)
One atom of each set of equivalent atoms:
Mn 0.0000 0.0000 0.0000 (multiplicity 1)
Cd 0.0000 0.5000 0.3892 (multiplicity 2)
Ru 0.5000 0.5000 0.9721 (multiplicity 1)
O 0.0000 0.0000 0.5238 (multiplicity 1)
O 0.2581 0.2581 0.0642 (multiplicity 4)
O 0.5000 0.5000 0.5328 (multiplicity 1)

Principal peaks in the range 2θ = 5–70°, low angle first:
- 21.7 deg, intensity 12, (0 0 1)
- 31.5 deg, intensity 100, (1 1 1)
- 32.1 deg, intensity 50, (2 0 0)
- 39.1 deg, intensity 10, (2 0 1)
- 46.0 deg, intensity 33, (2 2 0)
- 50.2 deg, intensity 13, (1 1 2)
- 55.7 deg, intensity 19, (2 0 2)
- 56.8 deg, intensity 36, (3 1 1)
- 65.7 deg, intensity 10, (2 2 2)
- 67.1 deg, intensity 9, (4 0 0)